Calculated X-ray diffraction stick pattern
Compound: Ho6InNi
Radiation: CuKα
Structure: a DFT-relaxed cell (PBE, Alexandria)

Cell and atoms:
Cell lengths 6.922, 6.926, 7.160 Å; angles 90.05, 118.84, 119.96 degrees
Space group P-1 (No. 2)
Asymmetric unit:
Ho1 0.051 0.079 0.260
Ho2 0.288 0.709 0.259
Ho3 0.319 0.529 0.741
In1 0.500 0.000 0.000
Ni1 0.500 0.500 0.500

Principal peaks in the range 5° ≤ 2θ ≤ 70°, in order of rising 2θ:
two_theta  I/Imax  index
24.88  11  1 0 -2
29.86  100  2 -1 0
30.07  17  0 0 2
30.22  10  0 2 -1
31.48  11  2 0 -2
39.98  31  1 1 1
41.09  9  2 1 -1
45.37  22  -3 3 1
53.26  19  2 -1 2
55.26  11  -4 2 3

---

Calculated X-ray diffraction stick pattern
Compound: La2Ge3Rh
Radiation: CuKα
Structure: a DFT-relaxed cell (PBE, Alexandria)

Cell and atoms:
Cell lengths 8.608, 8.637, 14.890 Å; angles 90.00, 90.00, 90.00 degrees
Space group Fmmm (No. 69)
Asymmetric unit:
La1 0.246 0.000 0.000
La2 0.250 0.250 0.250
Ge1 0.000 0.000 0.332
Ge2 0.000 0.249 0.084
Rh1 0.000 0.000 0.166

Principal peaks in the range 5° ≤ 2θ ≤ 70°, in order of rising 2θ:
two_theta  I/Imax  index
20.62  1  2 0 0
23.85  6  0 2 2
31.74  100  2 0 4
41.83  15  0 4 0
41.99  44  4 0 0
48.81  2  4 2 2
53.48  15  2 4 4
53.65  7  2 0 8
60.76  10  4 4 0
60.88  19  4 2 6

---

Calculated X-ray diffraction stick pattern
Compound: Ag2SnPbSe4
Radiation: CuKα
Structure: a DFT-relaxed cell (PBE, Alexandria)

Cell and atoms:
Cell lengths 8.944, 9.488, 11.647 Å; angles 90.00, 90.00, 90.00 degrees
Space group Fmm2 (No. 42)
Asymmetric unit:
Ag1 0.250 0.250 0.000
Sn1 0.000 0.000 0.254
Pb1 0.000 0.000 0.742
Se1 0.000 0.219 0.124
Se2 0.230 0.000 0.392

Principal peaks in the range 5° ≤ 2θ ≤ 70°, in order of rising 2θ:
two_theta  I/Imax  index
24.20  88  0 2 2
25.11  100  2 0 2
37.93  26  0 4 0
40.34  23  4 0 0
41.62  83  2 2 4
46.03  37  2 4 2
47.59  28  4 2 2
50.82  16  0 2 6
56.56  15  4 4 0
66.80  14  4 2 6

---

Calculated X-ray diffraction stick pattern
Compound: CsY3S
Radiation: CuKα
Structure: a DFT-relaxed cell (PBE, Alexandria)

Cell and atoms:
Cell lengths 5.504, 5.504, 5.504 Å; angles 90.00, 90.00, 90.00 degrees
Space group Pm-3m (No. 221)
Asymmetric unit:
Cs1 0.000 0.000 0.000
Y1 0.000 0.500 0.500
S1 0.500 0.500 0.500

Principal peaks in the range 5° ≤ 2θ ≤ 70°, in order of rising 2θ:
two_theta  I/Imax  index
22.85  10  1 1 0
28.08  100  1 1 1
32.54  71  2 0 0
40.13  4  2 1 1
46.68  50  2 2 0
52.59  2  3 1 0
55.37  44  3 1 1
58.06  17  2 2 2
63.22  2  3 2 1
68.15  8  4 0 0

---

Calculated X-ray diffraction stick pattern
Compound: BaInAsH2
Radiation: CuKα
Structure: a DFT-relaxed cell (PBE, Alexandria)

Cell and atoms:
Cell lengths 4.158, 12.005, 7.718 Å; angles 90.00, 90.00, 90.00 degrees
Space group Cmcm (No. 63)
Asymmetric unit:
Ba1 0.000 0.226 0.250
In1 0.000 0.500 0.000
As1 0.000 0.052 0.750
H1 0.000 0.340 0.558

Principal peaks in the range 5° ≤ 2θ ≤ 70°, in order of rising 2θ:
two_theta  I/Imax  index
25.44  45  1 1 1
27.48  56  0 2 2
29.77  42  0 4 0
31.02  21  1 3 0
32.00  27  0 4 1
32.52  100  1 1 2
33.17  71  1 3 1
43.53  27  2 0 0
47.36  26  1 3 3
49.82  30  1 5 2

---

Calculated X-ray diffraction stick pattern
Compound: LaMn3Ni2
Radiation: CuKα
Structure: a DFT-relaxed cell (PBE, Alexandria)

Cell and atoms:
Cell lengths 5.3724, 5.3724, 4.0005 Å; angles 90.00, 90.00, 120.00 degrees
Space group P6/mmm (No. 191)
Asymmetric unit:
La1 0.0000 0.0000 0.0000
Mn1 0.0000 0.5000 0.5000
Ni1 0.3333 0.6667 0.0000

Principal peaks in the range 5° ≤ 2θ ≤ 70°, in order of rising 2θ:
two_theta  I/Imax  index
22.22  7  0 0 1
29.45  37  1 0 1
33.36  37  1 1 0
38.71  31  2 0 0
40.45  100  1 1 1
45.34  21  0 0 2
57.22  11  2 1 1
57.44  15  1 1 2
61.10  15  2 0 2
64.43  24  3 0 1

---

Calculated X-ray diffraction stick pattern
Compound: SrTi2BOs
Radiation: CuKα
Structure: a DFT-relaxed cell (PBE, Alexandria)

Cell and atoms:
Cell lengths 4.753, 4.753, 4.088 Å; angles 90.00, 90.00, 90.00 degrees
Space group P4/mmm (No. 123)
Asymmetric unit:
Sr1 0.000 0.000 0.000
Ti1 0.000 0.500 0.000
B1 0.000 0.000 0.500
Os1 0.500 0.500 0.500

Principal peaks in the range 5° ≤ 2θ ≤ 70°, in order of rising 2θ:
two_theta  I/Imax  index
18.67  15  1 0 0
26.52  30  1 1 0
28.80  100  1 0 1
34.55  36  1 1 1
37.85  49  2 0 0
44.32  15  0 0 2
48.25  49  2 1 1
54.61  16  2 2 0
59.66  25  2 0 2
62.91  11  3 0 1

---

Calculated X-ray diffraction stick pattern
Compound: NdSm3Rh2
Radiation: CuKα
Structure: a DFT-relaxed cell (PBE, Alexandria)

Cell and atoms:
Cell lengths 4.875, 8.849, 7.276 Å; angles 90.00, 90.00, 90.00 degrees
Space group Pmc2_1 (No. 26)
Asymmetric unit:
Nd1 0.000 0.085 0.000
Sm1 0.000 0.339 0.632
Sm2 0.500 0.164 0.353
Sm3 0.500 0.415 0.984
Rh1 0.000 0.333 0.238
Rh2 0.500 0.171 0.747

Principal peaks in the range 5° ≤ 2θ ≤ 70°, in order of rising 2θ:
two_theta  I/Imax  index
29.91  100  1 2 1
30.66  30  1 0 2
31.85  18  0 2 2
32.33  68  1 1 2
32.76  17  0 3 1
35.57  45  1 3 0
36.88  57  2 0 0
38.49  18  0 1 3
42.88  17  1 1 3
59.67  16  1 4 3

---

Calculated X-ray diffraction stick pattern
Compound: Y2Tl2Rh
Radiation: CuKα
Structure: a DFT-relaxed cell (PBE, Alexandria)

Cell and atoms:
Cell lengths 3.576, 3.576, 19.524 Å; angles 90.00, 90.00, 90.00 degrees
Space group I4/mmm (No. 139)
Asymmetric unit:
Y1 0.000 0.000 0.083
Tl1 0.000 0.000 0.302
Rh1 0.000 0.000 0.500

Principal peaks in the range 5° ≤ 2θ ≤ 70°, in order of rising 2θ:
two_theta  I/Imax  index
9.06  15  0 0 2
28.48  18  1 0 3
34.00  100  1 0 5
35.50  48  1 1 0
46.52  8  0 0 10
51.09  17  2 0 0
52.07  9  1 1 8
59.85  16  1 1 10
62.79  34  2 1 5
67.66  5  1 0 13

---

Calculated X-ray diffraction stick pattern
Compound: Nd5Ho12Tm
Radiation: CuKα
Structure: a DFT-relaxed cell (PBE, Alexandria)

Cell and atoms:
Cell lengths 11.726, 17.207, 5.729 Å; angles 90.00, 90.00, 90.00 degrees
Space group Cmmm (No. 65)
Asymmetric unit:
Nd1 0.000 0.000 0.000
Nd2 0.000 0.140 0.500
Nd3 0.000 0.364 0.000
Ho1 0.154 0.179 0.000
Ho2 0.156 0.322 0.500
Ho3 0.198 0.500 0.000
Ho4 0.202 0.000 0.500
Tm1 0.000 0.500 0.500

Principal peaks in the range 5° ≤ 2θ ≤ 70°, in order of rising 2θ:
two_theta  I/Imax  index
31.22  68  0 0 2
31.80  100  3 3 1
32.26  7  4 2 0
44.71  17  0 6 2
46.46  7  6 0 0
55.92  30  3 3 3
57.04  12  6 0 2
62.62  7  4 8 2
63.90  8  7 5 1
66.46  6  6 6 2

---

Calculated X-ray diffraction stick pattern
Compound: Na4HfRh3O8
Radiation: CuKα
Structure: a DFT-relaxed cell (PBE, Alexandria)

Cell and atoms:
Cell lengths 10.889, 6.312, 6.549 Å; angles 90.00, 123.75, 90.00 degrees
Space group C2/m (No. 12)
Asymmetric unit:
Na1 0.000 0.000 0.000
Na2 0.000 0.500 0.000
Na3 0.250 0.250 0.000
Hf1 0.000 0.000 0.500
Rh1 0.000 0.500 0.500
Rh2 0.250 0.250 0.500
O1 0.010 0.241 0.284
O2 0.229 0.500 0.687
O3 0.234 0.000 0.715

Principal peaks in the range 5° ≤ 2θ ≤ 70°, in order of rising 2θ:
two_theta  I/Imax  index
16.28  100  0 0 1
32.90  21  0 0 2
33.26  27  2 2 -1
33.38  13  4 0 -1
34.67  52  2 2 0
39.69  57  2 2 -2
39.83  28  4 0 0
43.21  16  4 0 -3
56.28  27  2 2 2
58.68  18  6 2 -2

---

Calculated X-ray diffraction stick pattern
Compound: CdAg3Au6
Radiation: CuKα
Structure: a DFT-relaxed cell (PBE, Alexandria)

Cell and atoms:
Cell lengths 9.926, 14.702, 5.305 Å; angles 90.00, 90.00, 90.00 degrees
Space group Cmc2_1 (No. 36)
Asymmetric unit:
Cd1 0.000 0.176 0.000
Ag1 0.000 0.382 0.938
Ag2 0.203 0.094 0.347
Au1 0.000 0.024 0.668
Au2 0.000 0.261 0.495
Au3 0.140 0.442 0.407
Au4 0.249 0.279 0.234

Principal peaks in the range 5° ≤ 2θ ≤ 70°, in order of rising 2θ:
two_theta  I/Imax  index
34.76  35  2 4 1
35.56  29  1 1 2
36.07  53  1 5 1
36.20  18  4 0 0
36.90  62  3 3 1
38.28  26  4 2 0
38.48  32  2 0 2
40.50  100  0 6 1
47.41  30  4 4 1
68.02  18  6 2 2